(1)
Diffraction record for Pa4RuRh12. The powder diffractogram is simulated, not measured: it uses the GGA-PBE geometry in Alexandria and Cu Kα (weighted mean of Kα1 and Kα2).

Principal peaks in the range 2θ from 5° to 70°, in order of rising 2θ:
21.3°, intensity 9; 30.3°, intensity 27; 37.3°, intensity 100; 40.4°, intensity 7; 43.4°, intensity 59; 48.8°, intensity 8; 51.3°, intensity 6; 53.8°, intensity 8; 63.0°, intensity 35; 67.3°, intensity 5

```
data_Pa4RuRh12
_cell_length_a 7.229
_cell_length_b 7.229
_cell_length_c 7.229
_cell_angle_alpha 109.47
_cell_angle_beta 109.47
_cell_angle_gamma 109.47
_space_group_name_H-M_alt 'P 1'
_space_group_IT_number 1
loop_
_space_group_symop_operation_xyz
'x,y,z'
loop_
_atom_site_label
_atom_site_fract_x
_atom_site_fract_y
_atom_site_fract_z
_atom_site_occupancy
Pa1 0.000 0.000 0.500 1
Pa2 0.000 0.500 0.000 1
Pa3 0.500 0.000 0.000 1
Pa4 0.500 0.500 0.500 1
Ru1 0.000 0.000 0.000 1
Rh1 0.000 0.294 0.294 1
Rh2 0.000 0.706 0.706 1
Rh3 0.250 0.500 0.750 1
Rh4 0.250 0.750 0.500 1
Rh5 0.294 0.000 0.294 1
Rh6 0.294 0.294 0.000 1
Rh7 0.500 0.250 0.750 1
Rh8 0.500 0.750 0.250 1
Rh9 0.706 0.000 0.706 1
Rh10 0.706 0.706 0.000 1
Rh11 0.750 0.250 0.500 1
Rh12 0.750 0.500 0.250 1
```

(2)
Diffraction record for NpGaP. The powder diffractogram is simulated, not measured: it uses the GGA-PBE geometry in Alexandria and Cu Kα (weighted mean of Kα1 and Kα2).

Principal peaks in the range 2θ from 5° to 70°, in order of rising 2θ:
16.2°, intensity 35; 19.1°, intensity 51; 29.4°, intensity 17; 31.1°, intensity 22; 34.9°, intensity 35; 39.1°, intensity 100; 50.0°, intensity 24; 51.9°, intensity 11; 62.4°, intensity 25; 65.3°, intensity 22

```
data_NpGaP
_cell_length_a 6.044
_cell_length_b 6.044
_cell_length_c 3.650
_cell_angle_alpha 90.00
_cell_angle_beta 90.00
_cell_angle_gamma 129.62
_space_group_name_H-M_alt 'P 1'
_space_group_IT_number 1
loop_
_space_group_symop_operation_xyz
'x,y,z'
loop_
_atom_site_label
_atom_site_fract_x
_atom_site_fract_y
_atom_site_fract_z
_atom_site_occupancy
Np1 0.076 0.924 0.750 1
Np2 0.924 0.076 0.250 1
Ga1 0.412 0.588 0.750 1
Ga2 0.588 0.412 0.250 1
P1 0.272 0.728 0.250 1
P2 0.728 0.272 0.750 1
```